Calculated X-ray diffraction stick pattern
Compound: PrNd3Se3O4
Radiation: Cu Kα (λ = 1.5418 Å)
Structure: a cell relaxed with PBE
Neutral-atom scattering factors, no anomalous dispersion.

Principal peaks in the range 2θ = 5–70°, by angle:
two_theta  d/Å  intensity
25.1  3.544  54
30.3  2.946  100
31.4  2.846  54
34.9  2.573  29
39.6  2.275  10
41.8  2.161  15
45.0  2.013  27
46.9  1.938  23
52.3  1.750  15
53.3  1.719  16
58.2  1.585  13
59.1  1.563  15

```
data_PrNd3Se3O4
_chemical_formula_sum 'Pr2 Nd6 Se6 O8'
_space_group_name_H-M_alt 'A m m 2'
_space_group_IT_number 38
_space_group_name_Hall 'A 2 -2'
_cell_length_a 8.4645
_cell_length_b 4.0259
_cell_length_c 12.9635
_cell_angle_alpha 90.00
_cell_angle_beta 90.00
_cell_angle_gamma 90.00
loop_
_atom_site_label
_atom_site_fract_x
_atom_site_fract_y
_atom_site_fract_z
Pr1 0.0000 0.0000 0.0000
Nd1 0.2632 0.0000 0.6677
Nd2 0.5000 0.0000 0.9848
Se1 0.1496 0.0000 0.3396
Se2 0.5000 0.0000 0.2972
O1 0.0000 0.0000 0.6008
O2 0.2574 0.0000 0.0725
O3 0.5000 0.0000 0.5723
```



Calculated X-ray diffraction stick pattern
Compound: Lu2As4Pb
Radiation: Cu Kα (λ = 1.5418 Å)
Structure: a cell relaxed with PBE
Neutral-atom scattering factors, no anomalous dispersion.

Principal peaks in the range 2θ = 5–70°, by angle:
two_theta  d/Å  intensity
11.0  8.015  17
19.5  4.555  13
22.5  3.960  9
27.7  3.221  7
29.7  3.009  9
29.9  2.989  11
35.8  2.511  100
39.6  2.278  38
45.3  2.004  13
57.2  1.610  13
61.7  1.504  20
69.3  1.356  29

```
data_Lu2As4Pb
_chemical_formula_sum 'Lu2 As4 Pb1'
_space_group_name_H-M_alt 'P 4/m m m'
_space_group_IT_number 123
_space_group_name_Hall '-P 4 2'
_cell_length_a 4.5551
_cell_length_b 4.5551
_cell_length_c 8.0150
_cell_angle_alpha 90.00
_cell_angle_beta 90.00
_cell_angle_gamma 90.00
loop_
_atom_site_label
_atom_site_fract_x
_atom_site_fract_y
_atom_site_fract_z
Lu1 0.0000 0.0000 0.0000
Lu2 0.5000 0.5000 0.5000
As1 0.0000 0.5000 0.2378
Pb1 0.0000 0.0000 0.5000
```



Calculated X-ray diffraction stick pattern
Compound: Cd3PCl3
Radiation: Cu Kα (λ = 1.5418 Å)
Structure: a cell relaxed with PBE
Neutral-atom scattering factors, no anomalous dispersion.

Principal peaks in the range 2θ = 5–70°, by angle:
two_theta  d/Å  intensity
17.3  5.115  17
18.0  4.935  16
23.8  3.739  21
25.2  3.535  23
26.3  3.392  100
28.8  3.098  14
36.3  2.475  13
36.4  2.468  27
41.3  2.185  15
44.9  2.020  16
45.1  2.012  40
47.0  1.934  29

```
data_Cd3PCl3
_chemical_formula_sum 'Cd12 P4 Cl12'
_space_group_name_H-M_alt 'P n m a'
_space_group_IT_number 62
_space_group_name_Hall '-P 2ac 2n'
_cell_length_a 13.2182
_cell_length_b 8.0781
_cell_length_c 7.0700
_cell_angle_alpha 90.00
_cell_angle_beta 90.00
_cell_angle_gamma 90.00
loop_
_atom_site_label
_atom_site_fract_x
_atom_site_fract_y
_atom_site_fract_z
Cd1 0.0000 0.0000 0.0000
Cd2 0.0872 0.2500 0.4872
Cd3 0.2455 0.7500 0.5038
P1 0.0799 0.2500 0.1385
Cl1 0.0828 0.7500 0.3096
Cl2 0.1689 0.0215 0.6952
```



Calculated X-ray diffraction stick pattern
Compound: Cs2PdBr2F2
Radiation: Cu Kα (λ = 1.5418 Å)
Structure: a cell relaxed with PBE
Neutral-atom scattering factors, no anomalous dispersion.

Principal peaks in the range 2θ = 5–70°, by angle:
two_theta  d/Å  intensity
12.6  7.008  39
24.8  3.590  65
27.9  3.196  100
28.4  3.139  32
28.5  3.128  33
33.3  2.690  35
35.8  2.506  28
36.3  2.477  38
43.3  2.092  22
46.3  1.961  23
51.9  1.761  35
52.6  1.740  23

```
data_Cs2PdBr2F2
_chemical_formula_sum 'Cs2 Pd1 Br2 F2'
_space_group_name_H-M_alt 'P m m 2'
_space_group_IT_number 25
_space_group_name_Hall 'P 2 -2'
_cell_length_a 4.1836
_cell_length_b 7.0264
_cell_length_c 6.9859
_cell_angle_alpha 90.00
_cell_angle_beta 90.00
_cell_angle_gamma 90.00
loop_
_atom_site_label
_atom_site_fract_x
_atom_site_fract_y
_atom_site_fract_z
Cs1 0.0000 0.0000 0.0000
Cs2 0.0000 0.5000 0.3238
Pd1 0.5000 0.5000 0.8829
Br1 0.5000 0.2494 0.6485
F1 0.5000 0.2946 0.0955
```



Calculated X-ray diffraction stick pattern
Compound: ScTeAuO
Radiation: Cu Kα (λ = 1.5418 Å)
Structure: a cell relaxed with PBE
Neutral-atom scattering factors, no anomalous dispersion.

Principal peaks in the range 2θ = 5–70°, by angle:
two_theta  d/Å  intensity
7.9  11.156  23
22.0  4.038  100
23.2  3.833  47
23.7  3.762  41
32.1  2.790  54
32.2  2.776  25
33.2  2.696  29
35.1  2.553  51
35.8  2.510  22
38.7  2.327  28
44.9  2.019  31
47.8  1.903  25

```
data_ScTeAuO
_chemical_formula_sum 'Sc4 Te4 Au4 O4'
_space_group_name_H-M_alt 'P 1 21 1'
_space_group_IT_number 4
_space_group_name_Hall 'P 2yb'
_cell_length_a 5.7173
_cell_length_b 5.7075
_cell_length_c 11.1659
_cell_angle_alpha 90.00
_cell_angle_beta 92.37
_cell_angle_gamma 90.00
loop_
_atom_site_label
_atom_site_fract_x
_atom_site_fract_y
_atom_site_fract_z
Sc1 0.0026 0.0000 0.0710
Sc2 0.4930 0.0058 0.9254
Te1 0.3127 0.2189 0.2782
Te2 0.3170 0.3363 0.7394
Au1 0.0024 0.0257 0.7577
Au2 0.3289 0.2831 0.5080
O1 0.2510 0.2494 0.0068
O2 0.2519 0.7509 0.9993
```



Calculated X-ray diffraction stick pattern
Compound: Dy2ErTm4Co2Te2
Radiation: Cu Kα (λ = 1.5418 Å)
Structure: a cell relaxed with PBE
Neutral-atom scattering factors, no anomalous dispersion.

Principal peaks in the range 2θ = 5–70°, by angle:
two_theta  d/Å  intensity
29.0  3.075  38
30.3  2.955  22
30.7  2.912  52
33.4  2.684  84
34.3  2.617  100
34.6  2.593  27
34.9  2.574  55
37.1  2.424  23
38.9  2.314  18
47.7  1.908  30
51.4  1.778  18
59.4  1.555  32

```
data_Dy2ErTm4Co2Te2
_chemical_formula_sum 'Dy4 Er2 Tm8 Co4 Te4'
_space_group_name_H-M_alt 'I m m 2'
_space_group_IT_number 44
_space_group_name_Hall 'I 2 -2'
_cell_length_a 3.8167
_cell_length_b 15.5590
_cell_length_c 9.4119
_cell_angle_alpha 90.00
_cell_angle_beta 90.00
_cell_angle_gamma 90.00
loop_
_atom_site_label
_atom_site_fract_x
_atom_site_fract_y
_atom_site_fract_z
Dy1 0.0000 0.1487 0.0000
Er1 0.0000 0.5000 0.2700
Tm1 0.0000 0.1853 0.6472
Tm2 0.0000 0.3651 0.8529
Co1 0.0000 0.2619 0.3400
Te1 0.0000 0.0000 0.5041
Te2 0.0000 0.5000 0.6093
```